For La10S19, a cell relaxed with GGA-PBE gives the calculated powder X-ray diffraction pattern in this record (Cu Kα).
Kinematic intensities with the Lorentz-polarization factor, no thermal factor.

Crystal structure
a = 9.149 Å, b = 9.149 Å, c = 16.369 Å
α = 90.00°, β = 90.00°, γ = 90.00°
Fractional coordinates of all 58 atoms:
1 La 0.041 0.348 0.123
2 La 0.056 0.354 0.601
3 La 0.146 0.056 0.899
4 La 0.152 0.041 0.377
5 La 0.250 0.750 0.113
6 La 0.250 0.750 0.613
7 La 0.348 0.459 0.377
8 La 0.354 0.444 0.899
9 La 0.444 0.146 0.601
10 La 0.459 0.152 0.123
11 La 0.541 0.848 0.877
12 La 0.556 0.854 0.399
13 La 0.646 0.556 0.101
14 La 0.652 0.541 0.623
15 La 0.750 0.250 0.387
16 La 0.750 0.250 0.887
17 La 0.848 0.959 0.623
18 La 0.854 0.944 0.101
19 La 0.944 0.646 0.399
20 La 0.959 0.652 0.877
21 S 0.030 0.801 0.249
22 S 0.049 0.349 0.424
23 S 0.054 0.352 0.938
24 S 0.081 0.891 0.750
25 S 0.109 0.581 0.250
26 S 0.148 0.054 0.562
27 S 0.151 0.049 0.076
28 S 0.199 0.530 0.749
29 S 0.250 0.250 0.250
30 S 0.250 0.750 0.433
31 S 0.250 0.750 0.933
32 S 0.301 0.970 0.749
33 S 0.349 0.451 0.076
34 S 0.352 0.446 0.562
35 S 0.391 0.919 0.250
36 S 0.419 0.609 0.750
37 S 0.446 0.148 0.938
38 S 0.451 0.151 0.424
39 S 0.470 0.699 0.249
40 S 0.530 0.301 0.751
41 S 0.549 0.849 0.576
42 S 0.554 0.852 0.062
43 S 0.581 0.391 0.250
44 S 0.609 0.081 0.750
45 S 0.648 0.554 0.438
46 S 0.651 0.549 0.924
47 S 0.699 0.030 0.251
48 S 0.750 0.250 0.067
49 S 0.750 0.250 0.567
50 S 0.750 0.750 0.750
51 S 0.801 0.470 0.251
52 S 0.849 0.951 0.924
53 S 0.852 0.946 0.438
54 S 0.891 0.419 0.750
55 S 0.919 0.109 0.250
56 S 0.946 0.648 0.062
57 S 0.951 0.651 0.576
58 S 0.970 0.199 0.751

Largest 10 diffraction maxima, in order of rising 2θ, 5 to 70 degrees two-theta:
hkl 0 0 4, 2θ 21.7, d 4.092, I = 28
hkl 1 2 2, 2θ 24.3, d 3.660, I = 100
hkl 3 1 0, 2θ 30.9, d 2.893, I = 51
hkl 0 0 6, 2θ 32.8, d 2.728, I = 32
hkl 3 1 4, 2θ 38.1, d 2.362, I = 63
hkl 1 2 6, 2θ 39.7, d 2.270, I = 41
hkl 2 4 0, 2θ 44.3, d 2.046, I = 34
hkl 2 4 4, 2θ 49.8, d 1.830, I = 21
hkl 5 0 2, 2θ 51.2, d 1.786, I = 29
hkl 5 0 6, 2θ 61.0, d 1.520, I = 29